Computed powder XRD pattern
Compound: Tl2BiPbAu
Radiation: Cu Ka
Structure: a PBE-relaxed structure

Most intense lines, 2θ from 15° to 90°, sorted by position:
| hkl | Position (°2θ) | I_rel |
| --- | --- | --- |
| 1 1 0 | 27.08 | 88 |
| 1 1 1 | 27.76 | 69 |
| 1 1 2 | 29.71 | 50 |
| 0 0 5 | 30.24 | 77 |
| 1 1 3 | 32.72 | 59 |
| 1 1 4 | 36.56 | 54 |
| 2 0 0 | 38.68 | 100 |
| 1 1 5 | 41.04 | 40 |
| 2 0 5 | 49.86 | 79 |
| 2 2 5 | 64.83 | 36 |

Cell and atoms:
abc: 4.6562 4.6562 14.7782
angles: 90.00 90.00 90.00
Sites, in units of the cell vectors:
Tl 0.2500 0.2500 0.0989
Tl 0.2500 0.2500 0.7119
Tl 0.7500 0.7500 0.2881
Tl 0.7500 0.7500 0.9011
Bi 0.2500 0.7500 0.5000
Bi 0.7500 0.2500 0.5000
Pb 0.2500 0.2500 0.3304
Pb 0.7500 0.7500 0.6696
Au 0.2500 0.2500 0.9046
Au 0.7500 0.7500 0.0954